# 1
Theoretical powder diffraction line list
Compound: MgCuSi2O6
Radiation: Cu Ka
Structure: a crystal structure in the Materials Project, relaxed with GGA-PBE
Intensities are scaled so that the largest is 100.

Structure:
a = 6.814 Å, b = 6.814 Å, c = 5.258 Å
α = 105.24°, β = 105.24°, γ = 85.33°
Fractional coordinates of all 20 atoms:
Mg (0.244, 0.756, 0.750)
Mg (0.756, 0.244, 0.250)
Cu (0.109, 0.891, 0.250)
Cu (0.891, 0.109, 0.750)
Si (0.204, 0.383, 0.245)
Si (0.383, 0.204, 0.745)
Si (0.617, 0.796, 0.255)
Si (0.796, 0.617, 0.755)
O (0.019, 0.216, 0.132)
O (0.134, 0.613, 0.367)
O (0.216, 0.019, 0.632)
O (0.316, 0.374, 0.000)
O (0.374, 0.316, 0.500)
O (0.387, 0.866, 0.133)
O (0.613, 0.134, 0.867)
O (0.626, 0.684, 0.500)
O (0.684, 0.626, 0.000)
O (0.784, 0.981, 0.368)
O (0.866, 0.387, 0.633)
O (0.981, 0.784, 0.868)

Principal peaks in the range 10° ≤ 2θ ≤ 80°, by intensity:
28.64°, intensity 100
30.24°, intensity 69
13.47°, intensity 65
36.55°, intensity 60
33.88°, intensity 56
40.66°, intensity 31

# 2
Theoretical powder diffraction line list
Compound: CrN2
Radiation: Cu Ka
Structure: a crystal structure in the Materials Project, relaxed with GGA-PBE
Intensities are scaled so that the largest is 100.

Structure:
a = 5.543 Å, b = 6.038 Å, c = 6.840 Å
α = 63.94°, β = 88.74°, γ = 81.58°
Fractional coordinates of all 12 atoms:
Cr (0.000, 0.000, 0.000)
Cr (0.068, 0.958, 0.572)
Cr (0.494, 0.811, 0.354)
Cr (0.837, 0.449, 0.569)
N (0.017, 0.834, 0.849)
N (0.276, 0.917, 0.144)
N (0.381, 0.924, 0.534)
N (0.528, 0.480, 0.518)
N (0.807, 0.882, 0.251)
N (0.904, 0.781, 0.455)
N (0.909, 0.316, 0.845)
N (0.967, 0.268, 0.434)

Principal peaks in the range 10° ≤ 2θ ≤ 80°, by intensity:
16.51°, intensity 100
14.43°, intensity 54
21.35°, intensity 46
16.18°, intensity 45
21.83°, intensity 33
21.22°, intensity 26

# 3
Theoretical powder diffraction line list
Compound: Nb3Pb
Radiation: Cu Ka
Structure: a crystal structure in the Materials Project, relaxed with GGA-PBE
Intensities are scaled so that the largest is 100.

Structure:
a = 5.387 Å, b = 5.387 Å, c = 5.387 Å
α = 90.00°, β = 90.00°, γ = 90.00°
Fractional coordinates of all 8 atoms:
Nb (0.000, 0.250, 0.500)
Nb (0.000, 0.750, 0.500)
Nb (0.250, 0.500, 0.000)
Nb (0.500, 0.000, 0.250)
Nb (0.500, 0.000, 0.750)
Nb (0.750, 0.500, 0.000)
Pb (0.000, 0.000, 0.000)
Pb (0.500, 0.500, 0.500)

Principal peaks in the range 10° ≤ 2θ ≤ 80°, by intensity:
41.04°, intensity 100
64.75°, intensity 52
37.33°, intensity 52
33.26°, intensity 44
23.35°, intensity 26
79.58°, intensity 15

# 4
Theoretical powder diffraction line list
Compound: Pr3RhBr3
Radiation: Cu Ka
Structure: a crystal structure in the Materials Project, relaxed with GGA-PBE
Intensities are scaled so that the largest is 100.

Structure:
a = 10.540 Å, b = 10.540 Å, c = 10.540 Å
α = 109.47°, β = 109.47°, γ = 109.47°
Fractional coordinates of all 28 atoms:
Pr (0.016, 0.031, 0.266)
Pr (0.016, 0.484, 0.750)
Pr (0.031, 0.266, 0.016)
Pr (0.234, 0.266, 0.750)
Pr (0.234, 0.469, 0.484)
Pr (0.266, 0.016, 0.031)
Pr (0.266, 0.750, 0.234)
Pr (0.469, 0.484, 0.234)
Pr (0.484, 0.234, 0.469)
Pr (0.484, 0.750, 0.016)
Pr (0.750, 0.016, 0.484)
Pr (0.750, 0.234, 0.266)
Rh (0.000, 0.250, 0.500)
Rh (0.250, 0.250, 0.250)
Rh (0.250, 0.500, 0.000)
Rh (0.500, 0.000, 0.250)
Br (0.250, 0.756, 0.744)
Br (0.250, 0.994, 0.506)
Br (0.506, 0.250, 0.994)
Br (0.506, 0.756, 0.512)
Br (0.512, 0.506, 0.756)
Br (0.744, 0.250, 0.756)
Br (0.744, 0.994, 0.988)
Br (0.756, 0.512, 0.506)
Br (0.756, 0.744, 0.250)
Br (0.988, 0.744, 0.994)
Br (0.994, 0.506, 0.250)
Br (0.994, 0.988, 0.744)

Principal peaks in the range 10° ≤ 2θ ≤ 80°, by intensity:
29.35°, intensity 100
41.99°, intensity 70
10.28°, intensity 43
69.02°, intensity 26
52.06°, intensity 23
76.72°, intensity 18

# 5
Theoretical powder diffraction line list
Compound: NdO2
Radiation: Cu Ka
Structure: a crystal structure in the Materials Project, relaxed with GGA-PBE
Intensities are scaled so that the largest is 100.

Structure:
a = 4.014 Å, b = 4.014 Å, c = 4.014 Å
α = 60.00°, β = 60.00°, γ = 60.00°
Fractional coordinates of all 3 atoms:
Nd (0.000, 0.000, 0.000)
O (0.250, 0.250, 0.250)
O (0.750, 0.750, 0.750)

Principal peaks in the range 10° ≤ 2θ ≤ 80°, by intensity:
27.21°, intensity 100
45.18°, intensity 56
53.54°, intensity 46
31.52°, intensity 30
72.59°, intensity 18
74.79°, intensity 12

# 6
Theoretical powder diffraction line list
Compound: BeTlPO4
Radiation: Cu Ka
Structure: a crystal structure in the Materials Project, relaxed with GGA-PBE
Intensities are scaled so that the largest is 100.

Structure:
a = 9.455 Å, b = 8.186 Å, c = 4.927 Å
α = 90.00°, β = 90.00°, γ = 90.00°
Fractional coordinates of all 28 atoms:
Be (0.148, 0.115, 0.000)
Be (0.352, 0.615, 0.500)
Be (0.648, 0.385, 0.000)
Be (0.852, 0.885, 0.500)
Tl (0.033, 0.344, 0.506)
Tl (0.467, 0.844, 0.006)
Tl (0.533, 0.156, 0.506)
Tl (0.967, 0.656, 0.006)
P (0.171, 0.920, 0.500)
P (0.329, 0.420, 0.000)
P (0.671, 0.580, 0.500)
P (0.829, 0.080, 0.000)
O (0.021, 0.844, 0.530)
O (0.186, 0.072, 0.685)
O (0.200, 0.970, 0.203)
O (0.219, 0.290, 0.087)
O (0.281, 0.790, 0.587)
O (0.300, 0.470, 0.703)
O (0.314, 0.572, 0.185)
O (0.479, 0.344, 0.030)
O (0.521, 0.656, 0.530)
O (0.686, 0.428, 0.685)
O (0.700, 0.530, 0.203)
O (0.719, 0.210, 0.087)
O (0.781, 0.710, 0.587)
O (0.800, 0.030, 0.703)
O (0.814, 0.928, 0.185)
O (0.979, 0.156, 0.030)

Principal peaks in the range 10° ≤ 2θ ≤ 80°, by intensity:
29.91°, intensity 100
28.34°, intensity 66
21.04°, intensity 38
18.77°, intensity 32
14.31°, intensity 30
34.20°, intensity 27

# 7
Theoretical powder diffraction line list
Compound: Li3ThF7
Radiation: Cu Ka
Structure: a crystal structure in the Materials Project, relaxed with GGA-PBE
Intensities are scaled so that the largest is 100.

Structure:
a = 6.946 Å, b = 6.946 Å, c = 12.265 Å
α = 90.00°, β = 90.00°, γ = 90.00°
Fractional coordinates of all 44 atoms:
Li (0.125, 0.625, 0.250)
Li (0.125, 0.875, 0.750)
Li (0.250, 0.750, 0.000)
Li (0.250, 0.750, 0.500)
Li (0.375, 0.625, 0.750)
Li (0.375, 0.875, 0.250)
Li (0.625, 0.125, 0.750)
Li (0.625, 0.375, 0.250)
Li (0.750, 0.250, 0.000)
Li (0.750, 0.250, 0.500)
Li (0.875, 0.125, 0.250)
Li (0.875, 0.375, 0.750)
Th (0.250, 0.250, 0.141)
Th (0.250, 0.250, 0.641)
Th (0.750, 0.750, 0.359)
Th (0.750, 0.750, 0.859)
F (0.045, 0.657, 0.413)
F (0.045, 0.843, 0.913)
F (0.090, 0.590, 0.750)
F (0.090, 0.910, 0.250)
F (0.157, 0.545, 0.087)
F (0.157, 0.955, 0.587)
F (0.250, 0.250, 0.316)
F (0.250, 0.250, 0.816)
F (0.343, 0.545, 0.587)
F (0.343, 0.955, 0.087)
F (0.410, 0.590, 0.250)
F (0.410, 0.910, 0.750)
F (0.455, 0.657, 0.913)
F (0.455, 0.843, 0.413)
F (0.545, 0.157, 0.587)
F (0.545, 0.343, 0.087)
F (0.590, 0.090, 0.250)
F (0.590, 0.410, 0.750)
F (0.657, 0.045, 0.913)
F (0.657, 0.455, 0.413)
F (0.750, 0.750, 0.184)
F (0.750, 0.750, 0.684)
F (0.843, 0.045, 0.413)
F (0.843, 0.455, 0.913)
F (0.910, 0.090, 0.750)
F (0.910, 0.410, 0.250)
F (0.955, 0.157, 0.087)
F (0.955, 0.343, 0.587)

Principal peaks in the range 10° ≤ 2θ ≤ 80°, by intensity:
19.31°, intensity 100
18.06°, intensity 47
32.30°, intensity 35
41.09°, intensity 25
25.65°, intensity 23
34.48°, intensity 23

# 8
Theoretical powder diffraction line list
Compound: SmAs2Pd2
Radiation: Cu Ka
Structure: a crystal structure in the Materials Project, relaxed with GGA-PBE
Intensities are scaled so that the largest is 100.

Structure:
a = 6.075 Å, b = 6.075 Å, c = 6.075 Å
α = 138.79°, β = 138.79°, γ = 59.69°
Fractional coordinates of all 5 atoms:
Sm (0.000, 0.000, 0.000)
As (0.381, 0.381, 0.000)
As (0.619, 0.619, 0.000)
Pd (0.250, 0.750, 0.500)
Pd (0.750, 0.250, 0.500)

Principal peaks in the range 10° ≤ 2θ ≤ 80°, by intensity:
34.19°, intensity 100
42.27°, intensity 52
33.00°, intensity 46
72.11°, intensity 26
54.65°, intensity 22
48.13°, intensity 21

What did the sixth record say?
Theoretical powder diffraction line list
Compound: BeTlPO4
Radiation: Cu Ka
Structure: a crystal structure in the Materials Project, relaxed with GGA-PBE
Intensities are scaled so that the largest is 100.

Structure:
a = 9.455 Å, b = 8.186 Å, c = 4.927 Å
α = 90.00°, β = 90.00°, γ = 90.00°
Fractional coordinates of all 28 atoms:
Be (0.148, 0.115, 0.000)
Be (0.352, 0.615, 0.500)
Be (0.648, 0.385, 0.000)
Be (0.852, 0.885, 0.500)
Tl (0.033, 0.344, 0.506)
Tl (0.467, 0.844, 0.006)
Tl (0.533, 0.156, 0.506)
Tl (0.967, 0.656, 0.006)
P (0.171, 0.920, 0.500)
P (0.329, 0.420, 0.000)
P (0.671, 0.580, 0.500)
P (0.829, 0.080, 0.000)
O (0.021, 0.844, 0.530)
O (0.186, 0.072, 0.685)
O (0.200, 0.970, 0.203)
O (0.219, 0.290, 0.087)
O (0.281, 0.790, 0.587)
O (0.300, 0.470, 0.703)
O (0.314, 0.572, 0.185)
O (0.479, 0.344, 0.030)
O (0.521, 0.656, 0.530)
O (0.686, 0.428, 0.685)
O (0.700, 0.530, 0.203)
O (0.719, 0.210, 0.087)
O (0.781, 0.710, 0.587)
O (0.800, 0.030, 0.703)
O (0.814, 0.928, 0.185)
O (0.979, 0.156, 0.030)

Principal peaks in the range 10° ≤ 2θ ≤ 80°, by intensity:
29.91°, intensity 100
28.34°, intensity 66
21.04°, intensity 38
18.77°, intensity 32
14.31°, intensity 30
34.20°, intensity 27